For Mn2HO4, a DFT-relaxed cell (GGA+U, Alexandria) gives the simulated powder diffraction line list in this record (λ = 1.5418 Å (Cu Kα)).
Lines closer than 0.1° are merged.

Structure:
```
data_Mn2HO4
_space_group_name_H-M_alt 'P m c 21'
_space_group_IT_number 26
_space_group_name_Hall 'P 2c -2'
_cell_length_a 2.9411
_cell_length_b 4.5161
_cell_length_c 10.3228
_cell_angle_alpha 90.00
_cell_angle_beta 90.00
_cell_angle_gamma 90.00
loop_
_atom_site_label
_atom_site_fract_x
_atom_site_fract_y
_atom_site_fract_z
_atom_site_occupancy
Mn1 0.0000 0.2249 0.0000 1
Mn2 0.5000 0.2290 0.7301 1
H1 0.0000 0.2290 0.2656 1
O1 0.0000 0.0173 0.3004 1
O2 0.0000 0.4746 0.6737 1
O3 0.5000 0.0040 0.0748 1
O4 0.5000 0.4094 0.9016 1
```

The 10 most intense peaks (15 to 90 degrees two-theta), by intensity:
21.48°, intensity 100, hkl 0 1 1
37.52°, intensity 45, hkl 1 1 1
54.21°, intensity 40, hkl 1 2 2
32.72°, intensity 40, hkl 0 1 3
35.12°, intensity 21, hkl 1 0 2
58.30°, intensity 18, hkl 1 1 5
34.76°, intensity 17, hkl 0 0 4
62.55°, intensity 15, hkl 1 0 6
53.96°, intensity 15, hkl 0 2 4
45.26°, intensity 15, hkl 1 1 3

=====

For MnHO2, a DFT-relaxed cell (GGA+U, Alexandria) gives the simulated powder diffraction line list in this record (λ = 1.5418 Å (Cu Kα)).
Lines closer than 0.1° are merged.

Structure:
```
data_MnHO2
_space_group_name_H-M_alt 'P 1 21/c 1'
_space_group_IT_number 14
_space_group_name_Hall '-P 2ybc'
_cell_length_a 5.2008
_cell_length_b 5.1862
_cell_length_c 6.0012
_cell_angle_alpha 90.00
_cell_angle_beta 112.72
_cell_angle_gamma 90.00
loop_
_atom_site_label
_atom_site_fract_x
_atom_site_fract_y
_atom_site_fract_z
_atom_site_occupancy
Mn1 0.2339 0.1204 0.2315 1
H1 0.3183 0.6570 0.3197 1
O1 0.1039 0.0626 0.8244 1
O2 0.4543 0.7013 0.8167 1
```

The 10 most intense peaks (15 to 90 degrees two-theta), by intensity:
32.35°, intensity 100, hkl 0 0 2
25.85°, intensity 100, hkl 1 1 -1
25.29°, intensity 86, hkl 1 1 0
49.68°, intensity 43, hkl 2 2 -1
38.33°, intensity 30, hkl 0 2 1
61.66°, intensity 29, hkl 2 2 -3
48.79°, intensity 28, hkl 1 1 -3
47.17°, intensity 27, hkl 1 1 2
33.82°, intensity 18, hkl 1 1 1
59.42°, intensity 18, hkl 2 2 1

=====

> What is the formula in the second record?

MnHO2

=====

> Which formula does entry 2 have?

MnHO2